[1]
Diffraction record for Ce5Rh4Au. The X-ray diffraction stick pattern is simulated, not measured: it uses DFT lattice parameters and positions (PBE) and copper Kα.
Intensities are scaled so that the largest is 100.

Structural model:
```
Ce5Rh4Au
1.0
-4.534 4.534 2.886
4.534 -4.534 2.886
4.534 4.534 -2.886
Ce Rh Au
5 4 1
Direct
0.000 0.000 0.000 Ce
0.185 0.603 0.790 Ce
0.395 0.185 0.582 Ce
0.603 0.813 0.418 Ce
0.813 0.395 0.210 Ce
0.106 0.297 0.404 Rh
0.297 0.892 0.191 Rh
0.701 0.106 0.809 Rh
0.892 0.701 0.596 Rh
0.500 0.500 0.000 Au
```

Principal peaks in the range 2θ = 10–90°, in order of rising 2θ:
2θ 30.98, I 51.0; 2θ 31.19, I 100.0; 2θ 44.54, I 74.7; 2θ 44.69, I 35.6; 2θ 55.37, I 37.7; 2θ 73.46, I 16.8; 2θ 73.79, I 15.3; 2θ 73.90, I 14.9; 2θ 81.94, I 12.1; 2θ 82.26, I 22.6

[2]
Diffraction record for CaAc2PaSb4. The X-ray diffraction stick pattern is simulated, not measured: it uses DFT lattice parameters and positions (PBE) and copper Kα.
Intensities are scaled so that the largest is 100.

Structural model:
```
CaAc2PaSb4
1.0
7.985 0.000 0.000
0.000 4.626 0.000
-2.639 0.000 7.537
Ca Ac Pa Sb
1 2 1 4
Direct
0.000 0.000 0.000 Ca
0.000 0.500 0.500 Ac
0.500 0.000 0.500 Ac
0.500 0.500 0.000 Pa
0.253 0.500 0.228 Sb
0.265 0.000 0.775 Sb
0.735 0.000 0.225 Sb
0.747 0.500 0.772 Sb
```

Principal peaks in the range 2θ = 10–90°, in order of rising 2θ:
2θ 11.74, I 12.5; 2θ 27.28, I 100.0; 2θ 27.39, I 49.1; 2θ 38.96, I 38.5; 2θ 39.04, I 75.8; 2θ 48.28, I 40.8; 2θ 56.29, I 12.8; 2θ 63.68, I 34.7; 2θ 63.87, I 16.7; 2θ 70.62, I 25.2

[3]
Diffraction record for Li4CuCl5. The X-ray diffraction stick pattern is simulated, not measured: it uses DFT lattice parameters and positions (PBE) and copper Kα.
Intensities are scaled so that the largest is 100.

Structural model:
```
Li4CuCl5
1.0
1.946 1.124 15.819
-1.946 1.124 15.819
0.000 -2.247 15.819
Li Cu Cl
4 1 5
Direct
0.000 0.000 0.000 Li
0.199 0.199 0.199 Li
0.401 0.401 0.401 Li
0.599 0.599 0.599 Li
0.800 0.800 0.800 Cu
0.148 0.148 0.148 Cl
0.350 0.350 0.350 Cl
0.549 0.549 0.549 Cl
0.750 0.750 0.750 Cl
0.950 0.950 0.950 Cl
```

Principal peaks in the range 2θ = 10–90°, in order of rising 2θ:
2θ 11.19, I 27.6; 2θ 16.81, I 11.6; 2θ 26.51, I 11.5; 2θ 28.09, I 100.0; 2θ 28.21, I 34.0; 2θ 32.58, I 13.1; 2θ 46.67, I 38.6; 2θ 46.82, I 37.9; 2θ 55.41, I 36.3; 2θ 86.75, I 11.5

[4]
Diffraction record for I2Br4Cl. The X-ray diffraction stick pattern is simulated, not measured: it uses DFT lattice parameters and positions (PBE) and copper Kα.
Intensities are scaled so that the largest is 100.

Structural model:
```
I2Br4Cl
1.0
9.380 0.000 0.000
4.539 8.610 0.000
4.688 0.018 8.772
I Br Cl
4 8 2
Direct
0.000 0.000 0.000 I
0.002 0.017 0.484 I
0.006 0.500 0.988 I
0.493 0.517 0.504 I
0.166 0.578 0.510 Br
0.252 0.070 0.008 Br
0.266 0.571 0.980 Br
0.308 0.944 0.475 Br
0.682 0.078 0.478 Br
0.770 0.919 0.007 Br
0.783 0.419 0.981 Br
0.790 0.444 0.513 Br
0.216 0.573 0.247 Cl
0.469 0.073 0.741 Cl
```

Principal peaks in the range 2θ = 10–90°, in order of rising 2θ:
2θ 11.80, I 34.8; 2θ 11.94, I 30.9; 2θ 18.59, I 29.4; 2θ 20.25, I 100.0; 2θ 20.63, I 77.1; 2θ 27.91, I 23.9; 2θ 28.22, I 20.0; 2θ 29.07, I 51.0; 2θ 41.16, I 18.5; 2θ 43.78, I 23.8

[5]
Diffraction record for BaReClO4. The X-ray diffraction stick pattern is simulated, not measured: it uses DFT lattice parameters and positions (PBE) and copper Kα.
Intensities are scaled so that the largest is 100.

Structural model:
```
BaReClO4
1.0
5.601 -4.172 0.000
5.601 4.172 0.000
-1.940 0.000 7.428
Ba Re Cl O
2 2 2 8
Direct
0.211 0.211 0.136 Ba
0.789 0.789 0.864 Ba
0.366 0.366 0.743 Re
0.634 0.634 0.257 Re
0.031 0.031 0.769 Cl
0.969 0.969 0.231 Cl
0.150 0.490 0.845 O
0.301 0.301 0.511 O
0.473 0.473 0.218 O
0.490 0.150 0.845 O
0.510 0.850 0.155 O
0.527 0.527 0.782 O
0.699 0.699 0.489 O
0.850 0.510 0.155 O
```

Principal peaks in the range 2θ = 10–90°, in order of rising 2θ:
2θ 17.65, I 30.4; 2θ 21.30, I 100.0; 2θ 22.62, I 56.0; 2θ 23.96, I 33.9; 2θ 25.64, I 45.4; 2θ 26.78, I 55.2; 2θ 31.27, I 33.8; 2θ 31.74, I 28.8; 2θ 32.26, I 31.2; 2θ 40.86, I 38.3

[6]
Diffraction record for Ag3BiPd6. The X-ray diffraction stick pattern is simulated, not measured: it uses DFT lattice parameters and positions (PBE) and copper Kα.
Intensities are scaled so that the largest is 100.

Structural model:
```
Ag3BiPd6
1.0
7.102 0.000 0.000
0.000 7.075 0.000
-7.073 0.000 7.208
Ag Bi Pd
6 2 12
Direct
0.000 0.000 0.000 Ag
0.000 0.500 0.500 Ag
0.319 0.185 0.737 Ag
0.319 0.315 0.237 Ag
0.681 0.685 0.763 Ag
0.681 0.815 0.263 Ag
0.500 0.000 0.500 Bi
0.500 0.500 0.000 Bi
0.040 0.632 0.247 Pd
0.040 0.868 0.747 Pd
0.202 0.640 0.055 Pd
0.202 0.860 0.555 Pd
0.412 0.135 0.048 Pd
0.412 0.365 0.548 Pd
0.588 0.635 0.452 Pd
0.588 0.865 0.952 Pd
0.798 0.140 0.445 Pd
0.798 0.360 0.945 Pd
0.960 0.132 0.253 Pd
0.960 0.368 0.753 Pd
```

Principal peaks in the range 2θ = 10–90°, in order of rising 2θ:
2θ 30.55, I 48.4; 2θ 35.56, I 48.0; 2θ 37.75, I 81.0; 2θ 37.85, I 100.0; 2θ 38.01, I 28.1; 2θ 40.16, I 67.9; 2θ 40.30, I 81.3; 2θ 47.83, I 27.2; 2θ 50.66, I 25.6; 2θ 66.65, I 30.6

[7]
Diffraction record for La2TiS4. The X-ray diffraction stick pattern is simulated, not measured: it uses DFT lattice parameters and positions (PBE) and copper Kα.
Intensities are scaled so that the largest is 100.

Structural model:
```
La2TiS4
1.0
6.876 0.000 0.000
0.000 6.348 0.000
-2.341 0.000 7.632
La Ti S
4 2 8
Direct
0.232 0.250 0.059 La
0.255 0.250 0.562 La
0.745 0.750 0.438 La
0.768 0.750 0.941 La
0.247 0.750 0.808 Ti
0.753 0.250 0.192 Ti
0.006 0.505 0.256 S
0.006 0.995 0.256 S
0.432 0.750 0.101 S
0.436 0.750 0.612 S
0.564 0.250 0.388 S
0.568 0.250 0.899 S
0.994 0.005 0.744 S
0.994 0.495 0.744 S
```

Principal peaks in the range 2θ = 10–90°, in order of rising 2θ:
2θ 19.44, I 85.8; 2θ 27.25, I 48.5; 2θ 28.11, I 47.9; 2θ 30.29, I 49.0; 2θ 33.49, I 100.0; 2θ 36.82, I 53.1; 2θ 39.47, I 42.2; 2θ 43.69, I 36.3; 2θ 45.45, I 24.7; 2θ 53.27, I 25.4

[8]
Diffraction record for Sc2BeB10. The X-ray diffraction stick pattern is simulated, not measured: it uses DFT lattice parameters and positions (PBE) and copper Kα.
Intensities are scaled so that the largest is 100.

Structural model:
```
Sc2BeB10
1.0
5.581 0.000 0.000
0.000 10.560 0.000
0.000 0.000 4.099
Sc Be B
4 2 20
Direct
0.243 0.125 0.000 Sc
0.257 0.625 0.000 Sc
0.743 0.375 0.000 Sc
0.757 0.875 0.000 Sc
0.000 0.500 0.500 Be
0.500 0.000 0.500 Be
0.017 0.317 0.500 B
0.130 0.962 0.500 B
0.177 0.799 0.500 B
0.193 0.388 0.199 B
0.193 0.388 0.801 B
0.307 0.888 0.199 B
0.307 0.888 0.801 B
0.323 0.299 0.500 B
0.370 0.462 0.500 B
0.483 0.817 0.500 B
0.517 0.183 0.500 B
0.630 0.538 0.500 B
0.677 0.701 0.500 B
0.693 0.112 0.199 B
0.693 0.112 0.801 B
0.807 0.612 0.199 B
0.807 0.612 0.801 B
0.823 0.201 0.500 B
0.870 0.038 0.500 B
0.983 0.683 0.500 B
```

Principal peaks in the range 2θ = 10–90°, in order of rising 2θ:
2θ 23.19, I 18.6; 2θ 31.96, I 100.0; 2θ 32.08, I 28.9; 2θ 33.96, I 23.6; 2θ 39.05, I 35.1; 2θ 40.65, I 36.8; 2θ 47.41, I 20.4; 2θ 50.49, I 25.6; 2θ 52.70, I 20.9; 2θ 72.84, I 14.1

[9]
Diffraction record for Ce2ThCr2N6. The X-ray diffraction stick pattern is simulated, not measured: it uses DFT lattice parameters and positions (PBE) and copper Kα.
Intensities are scaled so that the largest is 100.

Structural model:
```
Ce2ThCr2N6
1.0
2.815 1.625 6.120
-2.815 1.625 6.120
0.000 -3.251 6.120
Ce Th Cr N
2 1 2 6
Direct
0.205 0.205 0.205 Ce
0.795 0.795 0.795 Ce
0.000 0.000 0.000 Th
0.407 0.407 0.407 Cr
0.593 0.593 0.593 Cr
0.230 0.737 0.737 N
0.263 0.263 0.770 N
0.263 0.770 0.263 N
0.737 0.230 0.737 N
0.737 0.737 0.230 N
0.770 0.263 0.263 N
```

Principal peaks in the range 2θ = 10–90°, in order of rising 2θ:
2θ 18.83, I 38.4; 2θ 26.67, I 22.9; 2θ 30.47, I 100.0; 2θ 31.79, I 87.4; 2θ 44.61, I 40.9; 2θ 53.31, I 21.2; 2θ 55.81, I 36.6; 2θ 56.63, I 17.1; 2θ 72.69, I 16.3; 2θ 74.81, I 15.1

[10]
Diffraction record for Pr12Cd6Pd. The X-ray diffraction stick pattern is simulated, not measured: it uses DFT lattice parameters and positions (PBE) and copper Kα.
Intensities are scaled so that the largest is 100.

Structural model:
```
Pr12Cd6Pd
1.0
5.802 3.350 4.881
-5.802 3.350 4.881
0.000 -6.700 4.881
Pr Cd Pd
12 6 1
Direct
0.028 0.306 0.946 Pr
0.054 0.972 0.694 Pr
0.136 0.358 0.476 Pr
0.306 0.946 0.028 Pr
0.358 0.476 0.136 Pr
0.476 0.136 0.358 Pr
0.524 0.864 0.642 Pr
0.642 0.524 0.864 Pr
0.694 0.054 0.972 Pr
0.864 0.642 0.524 Pr
0.946 0.028 0.306 Pr
0.972 0.694 0.054 Pr
0.241 0.756 0.394 Cd
0.244 0.606 0.759 Cd
0.394 0.241 0.756 Cd
0.606 0.759 0.244 Cd
0.756 0.394 0.241 Cd
0.759 0.244 0.606 Cd
0.500 0.500 0.500 Pd
```

Principal peaks in the range 2θ = 10–90°, in order of rising 2θ:
2θ 24.21, I 14.1; 2θ 31.83, I 51.0; 2θ 32.41, I 50.8; 2θ 32.70, I 100.0; 2θ 34.01, I 69.6; 2θ 34.43, I 59.1; 2θ 36.01, I 18.7; 2θ 56.41, I 17.8; 2θ 57.19, I 16.0; 2θ 60.57, I 31.2

[11]
Diffraction record for Cs2MnAlSe4. The X-ray diffraction stick pattern is simulated, not measured: it uses DFT lattice parameters and positions (PBE) and copper Kα.
Intensities are scaled so that the largest is 100.

Structural model:
```
Cs2MnAlSe4
1.0
0.000 6.944 13.231
3.103 0.000 13.231
3.103 6.944 0.000
Cs Mn Al Se
4 2 2 8
Direct
0.054 0.054 0.696 Cs
0.304 0.304 0.946 Cs
0.696 0.696 0.054 Cs
0.946 0.946 0.304 Cs
0.375 0.375 0.375 Mn
0.625 0.625 0.625 Mn
0.125 0.125 0.125 Al
0.875 0.875 0.875 Al
0.019 0.337 0.405 Se
0.261 0.595 0.663 Se
0.337 0.019 0.739 Se
0.405 0.739 0.019 Se
0.595 0.261 0.981 Se
0.663 0.981 0.261 Se
0.739 0.405 0.337 Se
0.981 0.663 0.595 Se
```

Principal peaks in the range 2θ = 10–90°, in order of rising 2θ:
2θ 23.90, I 26.2; 2θ 26.05, I 100.0; 2θ 26.95, I 29.1; 2θ 29.40, I 58.5; 2θ 29.57, I 25.6; 2θ 35.37, I 29.7; 2θ 44.20, I 24.1; 2θ 45.03, I 15.5; 2θ 49.11, I 24.4; 2θ 49.35, I 17.4

[12]
Diffraction record for Ac2PaCdPt6. The X-ray diffraction stick pattern is simulated, not measured: it uses DFT lattice parameters and positions (PBE) and copper Kα.
Intensities are scaled so that the largest is 100.

Structural model:
```
Ac2PaCdPt6
1.0
0.000 5.120 5.120
5.120 0.000 5.120
5.120 5.120 0.000
Ac Pa Cd Pt
2 1 1 6
Direct
0.250 0.250 0.250 Ac
0.750 0.750 0.750 Ac
0.000 0.000 0.000 Pa
0.500 0.500 0.500 Cd
0.249 0.249 0.751 Pt
0.249 0.751 0.249 Pt
0.249 0.751 0.751 Pt
0.751 0.249 0.249 Pt
0.751 0.249 0.751 Pt
0.751 0.751 0.249 Pt
```

Principal peaks in the range 2θ = 10–90°, in order of rising 2θ:
2θ 17.32, I 12.3; 2θ 24.59, I 20.9; 2θ 30.23, I 82.0; 2θ 35.05, I 100.0; 2θ 50.41, I 72.6; 2θ 59.92, I 36.8; 2θ 62.88, I 25.1; 2θ 74.06, I 11.7; 2θ 82.04, I 15.4; 2θ 84.65, I 33.9